Record 1
This entry pairs a crystal structure of Ac2TbMg16 with its theoretical X-ray diffraction stick pattern. Radiation: Cu Kα (λ = 1.5418 Å). Structure: a cell relaxed with GGA-PBE.

Structure:
Unit cell a=7.9908 b=7.9908 c=7.9908 alpha=82.76 beta=82.76 gamma=82.76
Sites, in units of the cell vectors:
Ac  0.0000  0.0000  0.0000
Ac  0.3247  0.3247  0.3247
Tb  0.5659  0.5659  0.5659
Mg  0.0101  0.0100  0.4986
Mg  0.0101  0.4986  0.0101
Mg  0.1542  0.6607  0.6607
Mg  0.3081  0.3081  0.8117
Mg  0.3081  0.8117  0.3081
Mg  0.3614  0.6597  0.9552
Mg  0.3614  0.9552  0.6597
Mg  0.4986  0.0101  0.0100
Mg  0.6597  0.3614  0.9552
Mg  0.6597  0.9552  0.3614
Mg  0.6607  0.1542  0.6607
Mg  0.6607  0.6607  0.1542
Mg  0.7706  0.7706  0.7706
Mg  0.8117  0.3081  0.3081
Mg  0.9552  0.3614  0.6597
Mg  0.9552  0.6597  0.3614

Top 8 peaks for 2θ = 10–90°, sorted by position:
| 2theta | intensity |
| --- | --- |
| 16.78 | 1000 |
| 24.11 | 672 |
| 29.29 | 565 |
| 30.24 | 271 |
| 33.94 | 523 |
| 34.15 | 620 |
| 34.78 | 385 |
| 48.90 | 340 |

Record 2
This entry pairs a crystal structure of Ac2Tb3Mg2 with its theoretical X-ray diffraction stick pattern. Radiation: Cu Kα (λ = 1.5418 Å). Structure: a cell relaxed with GGA-PBE.

Structure:
Unit cell a=3.7586 b=33.8024 c=3.7295 alpha=90.00 beta=90.00 gamma=90.00
Sites, in units of the cell vectors:
Ac  0.0000  0.1989  0.0000
Ac  0.0000  0.8011  0.0000
Ac  0.5000  0.3011  0.0000
Ac  0.5000  0.6989  0.0000
Tb  0.0000  0.0690  0.0000
Tb  0.0000  0.5000  0.5000
Tb  0.0000  0.9310  0.0000
Tb  0.5000  0.0000  0.5000
Tb  0.5000  0.4310  0.0000
Tb  0.5000  0.5690  0.0000
Mg  0.0000  0.3715  0.5000
Mg  0.0000  0.6285  0.5000
Mg  0.5000  0.1285  0.5000
Mg  0.5000  0.8715  0.5000

Top 8 peaks for 2θ = 10–90°, sorted by position:
| 2theta | intensity |
| --- | --- |
| 21.03 | 344 |
| 23.85 | 491 |
| 24.97 | 339 |
| 30.13 | 1000 |
| 32.01 | 896 |
| 33.97 | 762 |
| 53.39 | 565 |
| 59.24 | 314 |

Record 3
This entry pairs a crystal structure of AcTbMg2Tl4 with its theoretical X-ray diffraction stick pattern. Radiation: Cu Kα (λ = 1.5418 Å). Structure: a cell relaxed with GGA-PBE.

Structure:
Unit cell a=11.0315 b=11.0315 c=11.0315 alpha=26.05 beta=26.05 gamma=26.05
Sites, in units of the cell vectors:
Ac  0.0000  0.0000  0.0000
Tb  0.5000  0.5000  0.5000
Mg  0.2434  0.2434  0.2434
Mg  0.7566  0.7566  0.7566
Tl  0.1228  0.1228  0.1228
Tl  0.3916  0.3916  0.3916
Tl  0.6084  0.6084  0.6084
Tl  0.8772  0.8772  0.8772

Top 8 peaks for 2θ = 10–90°, sorted by position:
| 2theta | intensity |
| --- | --- |
| 21.37 | 352 |
| 23.47 | 177 |
| 30.53 | 1000 |
| 34.97 | 313 |
| 36.13 | 812 |
| 48.01 | 291 |
| 61.53 | 279 |
| 64.98 | 150 |

Record 4
This entry pairs a crystal structure of AcMg9Tl2 with its theoretical X-ray diffraction stick pattern. Radiation: Cu Kα (λ = 1.5418 Å). Structure: a cell relaxed with GGA-PBE.

Structure:
Unit cell a=9.5766 b=9.5766 c=9.5766 alpha=100.00 beta=100.00 gamma=130.75
Sites, in units of the cell vectors:
Ac  0.3750  0.6250  0.7500
Ac  0.6250  0.3750  0.2500
Mg  0.1250  0.8750  0.2500
Mg  0.1295  0.5538  0.3322
Mg  0.1295  0.7973  0.5757
Mg  0.2027  0.2783  0.3322
Mg  0.2027  0.8705  0.9243
Mg  0.2783  0.2027  0.8322
Mg  0.2783  0.4462  0.0757
Mg  0.4462  0.2783  0.5757
Mg  0.4462  0.8705  0.1678
Mg  0.5538  0.1295  0.8322
Mg  0.5538  0.7217  0.4243
Mg  0.7217  0.5538  0.9243
Mg  0.7217  0.7973  0.1678
Mg  0.7973  0.1295  0.0757
Mg  0.7973  0.7217  0.6678
Mg  0.8705  0.2027  0.4243
Mg  0.8705  0.4462  0.6678
Mg  0.8750  0.1250  0.7500
Tl  0.0000  0.0000  0.0000
Tl  0.0000  0.0000  0.5000
Tl  0.0000  0.5000  0.0000
Tl  0.5000  0.0000  0.5000

Top 8 peaks for 2θ = 10–90°, sorted by position:
| 2theta | intensity |
| --- | --- |
| 19.59 | 1000 |
| 26.62 | 305 |
| 28.43 | 586 |
| 29.01 | 353 |
| 32.12 | 305 |
| 34.49 | 230 |
| 39.78 | 364 |
| 41.07 | 219 |